This entry pairs a crystal structure of Y2Ti2O7 with its theoretical PXRD pattern. Radiation: Cu Kα (λ = 1.5418 Å). Structure: a PBE-relaxed structure.
Kinematic intensities with the Lorentz-polarization factor, no thermal factor.

Peak list (12 most intense, 2θ = 15–90°, sorted by position)
2θ/deg  d_spacing  intensity  index
15.1  5.881  8  1 1 1
30.4  2.941  100  2 2 2
35.2  2.547  21  4 0 0
38.5  2.337  14  3 3 1
46.3  1.960  5  5 1 1
50.7  1.801  52  4 4 0
53.2  1.722  3  5 3 1
60.3  1.536  39  6 2 2
63.2  1.470  8  4 4 4
74.5  1.273  7  8 0 0
82.6  1.169  15  6 6 2
85.2  1.139  11  8 4 0

Structure:
Cell lengths 10.187, 10.187, 10.187 Å; angles 90.00, 90.00, 90.00 degrees
Space group Fd-3m (No. 227, origin choice 2)
Unique sites:
Y1 0.000 0.000 0.000 [16 per cell]
Ti1 0.000 0.000 0.500 [16 per cell]
O1 0.080 0.375 0.875 [48 per cell]
O2 0.125 0.125 0.125 [8 per cell]